The following is a calculated X-ray powder pattern of Ba2LiZnH6. It was derived from the PBE geometry in Alexandria, using Cu Ka.
Neutral-atom scattering factors, no anomalous dispersion.

Structural model:
```
data_Ba2LiZnH6
_chemical_formula_sum 'Ba2 Li1 Zn1 H6'
_symmetry_space_group_name_H-M 'P 1'
_symmetry_Int_Tables_number 1
_symmetry_space_group_name_Hall 'P 1'
_cell_length_a 5.708
_cell_length_b 5.708
_cell_length_c 5.708
_cell_angle_alpha 120.00
_cell_angle_beta 119.89
_cell_angle_gamma 90.09
loop_
_atom_site_label
_atom_site_type_symbol
_atom_site_fract_x
_atom_site_fract_y
_atom_site_fract_z
Ba1 Ba 0.250 0.250 0.000
Ba2 Ba 0.750 0.750 0.000
Li1 Li 0.500 0.000 0.500
Zn1 Zn 0.000 0.500 0.500
H1 H 0.242 0.260 0.502
H2 H 0.242 0.740 0.982
H3 H 0.242 0.742 0.500
H4 H 0.758 0.258 0.500
H5 H 0.758 0.260 0.018
H6 H 0.758 0.740 0.498
```

Peak list (12 most intense, 5 to 70 degrees two-theta, by intensity)
2θ/deg  I (rel.)
31.33  1000
22.02  354
55.76  319
44.90  193
38.62  125
50.53  103
65.40  102
19.04  90
55.82  64
50.59  51
36.92  50
69.85  41